Starting from a crystal structure in OQMD, relaxed with GGA-PBE, the powder XRD pattern of Li3PrHo2Sn3 was computed for a wavelength of 1.5418 Å.
Peak positions follow from Bragg's law for the DFT cell and can differ from measured ones.

Peak list (12 most intense, 5° ≤ 2θ ≤ 70°, sorted by position)
21.75 deg, 4.086 Å, rel. 28.4, (1 0 0); 23.20 deg, 3.833 Å, rel. 18.8, (1 0 1); 27.12 deg, 3.288 Å, rel. 20.8, (1 0 2); 32.69 deg, 2.739 Å, rel. 100.0, (1 0 3); 38.15 deg, 2.359 Å, rel. 55.4, (1 1 0); 46.65 deg, 1.947 Å, rel. 6.7, (1 0 5); 49.38 deg, 1.846 Å, rel. 7.6, (0 0 6); 51.10 deg, 1.787 Å, rel. 28.8, (2 0 3); 54.56 deg, 1.682 Å, rel. 4.9, (1 0 6); 64.06 deg, 1.454 Å, rel. 21.2, (1 1 6); 65.52 deg, 1.425 Å, rel. 27.5, (2 1 3); 68.95 deg, 1.362 Å, rel. 10.0, (3 0 0)

Structure:
Lattice parameters (Å, degrees): 4.7179 4.7179 11.0740 90.00 90.00 120.00
Space group P-6m2 (No. 187)
Asymmetric unit:
Li (0.0000, 0.0000, 0.0000) (multiplicity 1)
Li (0.3333, 0.6667, 0.2987) (multiplicity 2)
Pr (0.6667, 0.3333, 0.5000) (multiplicity 1)
Ho (0.6667, 0.3333, 0.1599) (multiplicity 2)
Sn (0.0000, 0.0000, 0.3168) (multiplicity 2)
Sn (0.3333, 0.6667, 0.0000) (multiplicity 1)

***

Starting from a crystal structure in OQMD, relaxed with GGA-PBE, the powder XRD pattern of Li2Ho2Si3 was computed for a wavelength of 1.5418 Å.
Peak positions follow from Bragg's law for the DFT cell and can differ from measured ones.

Peak list (12 most intense, 5° ≤ 2θ ≤ 70°, sorted by position)
9.89 deg, 8.947 Å, rel. 20.9, (0 2 0); 21.54 deg, 4.126 Å, rel. 47.9, (1 1 0); 24.01 deg, 3.707 Å, rel. 51.1, (0 4 1); 26.93 deg, 3.311 Å, rel. 37.4, (0 0 2); 32.94 deg, 2.719 Å, rel. 22.6, (0 6 1); 34.74 deg, 2.582 Å, rel. 65.5, (1 1 2); 35.51 deg, 2.528 Å, rel. 100.0, (1 5 1); 42.65 deg, 2.120 Å, rel. 22.9, (2 0 0); 45.84 deg, 1.979 Å, rel. 18.7, (0 4 3); 49.53 deg, 1.840 Å, rel. 15.2, (2 4 1); 53.34 deg, 1.718 Å, rel. 19.2, (1 5 3); 58.35 deg, 1.581 Å, rel. 16.8, (1 9 2)

Structure:
Lattice parameters (Å, degrees): 4.240 17.894 6.622 90.00 90.00 90.00
Space group Cmcm (No. 63)
Asymmetric unit:
Li (0.000, 0.190, 0.061) (multiplicity 8)
Ho (0.000, 0.343, 0.250) (multiplicity 4)
Ho (0.000, 0.448, 0.750) (multiplicity 4)
Si (0.000, 0.060, 0.571) (multiplicity 8)
Si (0.000, 0.279, 0.750) (multiplicity 4)

***

Starting from a crystal structure in OQMD, relaxed with GGA-PBE, the powder XRD pattern of SrLi3Ho2Sn3 was computed for a wavelength of 1.5418 Å.
Peak positions follow from Bragg's law for the DFT cell and can differ from measured ones.

Peak list (12 most intense, 5° ≤ 2θ ≤ 70°, sorted by position)
7.81 deg, 11.314 Å, rel. 22.0, (0 0 1); 21.50 deg, 4.133 Å, rel. 24.6, (1 0 0); 22.91 deg, 3.882 Å, rel. 20.9, (1 0 1); 26.71 deg, 3.337 Å, rel. 33.0, (1 0 2); 32.13 deg, 2.786 Å, rel. 100.0, (1 0 3); 37.70 deg, 2.386 Å, rel. 61.2, (1 1 0); 38.57 deg, 2.334 Å, rel. 12.8, (1 0 4); 45.71 deg, 1.985 Å, rel. 11.2, (1 0 5); 50.35 deg, 1.812 Å, rel. 28.6, (2 0 3); 62.81 deg, 1.480 Å, rel. 16.1, (1 1 6); 64.57 deg, 1.443 Å, rel. 27.3, (2 1 3); 68.05 deg, 1.378 Å, rel. 11.1, (3 0 0)

Structure:
Lattice parameters (Å, degrees): 4.7725 4.7725 11.3143 90.00 90.00 120.00
Space group P-6m2 (No. 187)
Asymmetric unit:
Sr (0.0000, 0.0000, 0.0000) (multiplicity 1)
Li (0.3333, 0.6667, 0.5000) (multiplicity 1)
Li (0.6667, 0.3333, 0.2085) (multiplicity 2)
Ho (0.0000, 0.0000, 0.3401) (multiplicity 2)
Sn (0.3333, 0.6667, 0.2002) (multiplicity 2)
Sn (0.6667, 0.3333, 0.5000) (multiplicity 1)

***

Starting from a crystal structure in OQMD, relaxed with GGA-PBE, the powder XRD pattern of Li3TbHo2Sn3 was computed for a wavelength of 1.5418 Å.
Peak positions follow from Bragg's law for the DFT cell and can differ from measured ones.

Peak list (12 most intense, 5° ≤ 2θ ≤ 70°, sorted by position)
21.75 deg, 4.085 Å, rel. 30.5, (1 0 0); 23.30 deg, 3.817 Å, rel. 20.3, (1 0 1); 27.45 deg, 3.249 Å, rel. 16.3, (1 0 2); 33.31 deg, 2.689 Å, rel. 100.0, (1 0 3); 38.15 deg, 2.359 Å, rel. 56.2, (1 1 0); 44.35 deg, 2.043 Å, rel. 4.7, (2 0 0); 51.13 deg, 1.786 Å, rel. 8.0, (0 0 6); 51.54 deg, 1.773 Å, rel. 29.6, (2 0 3); 56.20 deg, 1.637 Å, rel. 4.7, (1 0 6); 65.55 deg, 1.424 Å, rel. 22.9, (1 1 6); 65.90 deg, 1.417 Å, rel. 28.5, (2 1 3); 68.96 deg, 1.362 Å, rel. 10.2, (3 0 0)

Structure:
Lattice parameters (Å, degrees): 4.7174 4.7174 10.7185 90.00 90.00 120.00
Space group P-6m2 (No. 187)
Asymmetric unit:
Li (0.0000, 0.0000, 0.0000) (multiplicity 1)
Li (0.3333, 0.6667, 0.3102) (multiplicity 2)
Tb (0.6667, 0.3333, 0.5000) (multiplicity 1)
Ho (0.6667, 0.3333, 0.1643) (multiplicity 2)
Sn (0.0000, 0.0000, 0.3271) (multiplicity 2)
Sn (0.3333, 0.6667, 0.0000) (multiplicity 1)